Entry 1:
Structure and calculated powder diffraction line list of LiTl2In (a GGA-PBE-relaxed structure; Cu Kα (λ = 1.5418 Å)).
Intensities are scaled so that the largest is 1000.

Atomic structure:
abc: 6.0318 7.1613 9.6987
angles: 90.00 90.00 90.00
Space group Pbcn (No. 60)
Asymmetric unit:
Li  0.0000  0.1164  0.2500 [4 per cell]
Tl  0.2260  0.1447  0.5252 [8 per cell]
In  0.0000  0.4250  0.7500 [4 per cell]

Peak list (8 most intense, 10° ≤ 2θ ≤ 90°, by angle)
two_theta  I/Imax  hkl
18.3  388  0 0 2
26.7  182  1 1 2
30.5  1000  1 2 1
35.0  571  2 0 2
37.1  206  0 0 4
37.5  156  0 2 3
40.5  381  1 2 3
53.1  180  3 2 1

***

Entry 2:
Structure and calculated powder diffraction line list of Nd6Sm2TmTh (a GGA-PBE-relaxed structure; Cu Kα (λ = 1.5418 Å)).
Intensities are scaled so that the largest is 1000.

Atomic structure:
abc: 9.3028 15.1183 9.9175
angles: 90.00 99.11 90.00
Space group C2/c (No. 15)
Asymmetric unit:
Nd  0.0688  0.1808  0.4446 [8 per cell]
Nd  0.0972  0.3959  0.6195 [8 per cell]
Nd  0.2063  0.2173  0.8108 [8 per cell]
Sm  0.2429  0.0458  0.0474 [8 per cell]
Tm  0.0000  0.4075  0.2500 [4 per cell]
Th  0.0000  0.0215  0.7500 [4 per cell]

Peak list (8 most intense, 10° ≤ 2θ ≤ 90°, by angle)
two_theta  I/Imax  hkl
27.1  131  2 2 -2
28.2  326  1 3 2
29.8  610  3 1 -1
31.1  1000  2 2 2
32.0  130  1 5 -1
32.9  264  1 3 -3
33.2  102  2 2 -3
59.4  161  4 0 4

***

Entry 3:
Structure and calculated powder diffraction line list of Dy2TlS4 (a GGA-PBE-relaxed structure; Cu Kα (λ = 1.5418 Å)).
Intensities are scaled so that the largest is 1000.

Atomic structure:
abc: 11.5801 11.5801 11.5801
angles: 90.00 90.00 90.00
Space group Fd-3m (No. 227, origin choice 2)
Asymmetric unit:
Dy  0.0000  0.0000  0.0000 [16 per cell]
Tl  0.1250  0.1250  0.6250 [8 per cell]
S  0.0132  0.0132  0.2368 [32 per cell]

Peak list (8 most intense, 10° ≤ 2θ ≤ 90°, by angle)
two_theta  I/Imax  hkl
21.7  348  2 2 0
25.5  1000  3 1 1
38.1  156  4 2 2
40.5  463  5 1 1
44.2  533  4 4 0
51.8  152  5 3 3
61.5  249  5 5 3
81.4  169  8 4 4

***

Entry 4:
Structure and calculated powder diffraction line list of Dy2TmSc3Bi6 (a GGA-PBE-relaxed structure; Cu Kα (λ = 1.5418 Å)).
Intensities are scaled so that the largest is 1000.

Atomic structure:
abc: 7.5632 13.1051 7.5542
angles: 90.00 109.48 90.00
Space group C2/m (No. 12)
Asymmetric unit:
Dy  0.0000  0.1662  0.0000 [4 per cell]
Tm  0.0000  0.5000  0.0000 [2 per cell]
Sc  0.0000  0.0000  0.5000 [2 per cell]
Sc  0.0000  0.3321  0.5000 [4 per cell]
Bi  0.2430  0.5000  0.7357 [4 per cell]
Bi  0.2468  0.1657  0.7369 [8 per cell]

Peak list (8 most intense, 10° ≤ 2θ ≤ 90°, by angle)
two_theta  I/Imax  hkl
25.0  200  2 0 0
28.9  1000  1 3 1
41.4  767  0 6 0
48.9  105  2 6 0
51.3  274  4 0 0
59.9  128  2 6 2
67.9  351  4 6 0
75.4  201  6 0 -2

***

Entry 5:
Structure and calculated powder diffraction line list of Zn2CoH5 (a GGA-PBE-relaxed structure; Cu Kα (λ = 1.5418 Å)).
Intensities are scaled so that the largest is 1000.

Atomic structure:
abc: 6.7178 5.4925 4.8245
angles: 90.00 134.07 90.00
Space group Cm (No. 8)
Asymmetric unit:
Zn  0.0000  0.2488  0.0000 [4 per cell]
Co  0.4061  0.5000  0.4983 [2 per cell]
H  0.1774  0.5000  0.4874 [2 per cell]
H  0.2319  0.0000  0.8110 [2 per cell]
H  0.4086  0.5000  0.1741 [2 per cell]
H  0.4099  0.2192  0.5011 [4 per cell]

Peak list (8 most intense, 10° ≤ 2θ ≤ 90°, by angle)
two_theta  I/Imax  hkl
24.6  768  1 1 0
26.5  657  2 0 -1
37.3  1000  2 0 -2
42.0  931  0 2 1
42.5  666  2 2 -1
50.3  459  2 2 0
61.3  255  4 0 -1
70.0  275  2 2 -3

***

Entry 6:
Structure and calculated powder diffraction line list of Sm5MgHg (a GGA-PBE-relaxed structure; Cu Kα (λ = 1.5418 Å)).
Intensities are scaled so that the largest is 1000.

Atomic structure:
abc: 9.7301 12.1443 8.4998
angles: 90.00 119.01 90.00
Space group C2/c (No. 15)
Asymmetric unit:
Sm  0.0000  0.0799  0.2500 [4 per cell]
Sm  0.0893  0.3261  0.1004 [8 per cell]
Sm  0.2063  0.4468  0.8459 [8 per cell]
Mg  0.0000  0.1808  0.7500 [4 per cell]
Hg  0.2500  0.2500  0.5000 [4 per cell]

Peak list (8 most intense, 10° ≤ 2θ ≤ 90°, by angle)
two_theta  I/Imax  hkl
13.5  817  1 1 -1
28.1  682  0 2 2
29.4  629  1 3 1
29.8  1000  3 1 -2
31.8  999  0 4 1
32.4  696  3 1 0
33.2  682  1 1 -3
35.6  947  3 3 -1

***

Entry 7:
Structure and calculated powder diffraction line list of Tb3Pb4S8 (a GGA-PBE-relaxed structure; Cu Kα (λ = 1.5418 Å)).
Intensities are scaled so that the largest is 1000.

Atomic structure:
abc: 11.5322 11.5536 8.1738
angles: 90.00 134.74 90.00
Space group C2/m (No. 12)
Asymmetric unit:
Tb  0.0000  0.0000  0.0000 [2 per cell]
Tb  0.2500  0.2500  0.5000 [4 per cell]
Pb  0.0000  0.5000  0.0000 [2 per cell]
Pb  0.0000  0.5000  0.5000 [2 per cell]
Pb  0.2500  0.2500  0.0000 [4 per cell]
S  0.0000  0.2419  0.0000 [4 per cell]
S  0.0000  0.2454  0.5000 [4 per cell]
S  0.2359  0.0000  0.9949 [4 per cell]
S  0.2380  0.0000  0.4836 [4 per cell]

Peak list (8 most intense, 10° ≤ 2θ ≤ 90°, by angle)
two_theta  I/Imax  hkl
13.3  194  1 1 0
26.7  1000  2 2 0
30.8  414  0 0 2
31.0  813  0 4 0
44.3  605  0 4 2
44.4  300  4 4 -2
52.5  260  6 2 -2
55.0  317  4 4 -4

***

Entry 8:
Structure and calculated powder diffraction line list of YHo5Tl6 (a GGA-PBE-relaxed structure; Cu Kα (λ = 1.5418 Å)).
Intensities are scaled so that the largest is 1000.

Atomic structure:
abc: 9.2316 16.1014 5.3528
angles: 90.00 125.25 90.00
Space group C2/m (No. 12)
Asymmetric unit:
Y  0.0000  0.0000  0.0000 [2 per cell]
Ho  0.0000  0.1663  0.5000 [4 per cell]
Ho  0.0000  0.3333  0.0000 [4 per cell]
Ho  0.0000  0.5000  0.5000 [2 per cell]
Tl  0.2494  0.3328  0.7494 [8 per cell]
Tl  0.2488  0.5000  0.2487 [4 per cell]

Peak list (8 most intense, 10° ≤ 2θ ≤ 90°, by angle)
two_theta  I/Imax  hkl
33.4  504  0 6 0
33.5  1000  1 3 1
48.0  185  2 6 -2
48.3  91  4 0 0
59.8  290  1 9 1
60.0  239  4 6 0
70.4  89  2 6 2
80.1  84  4 6 -4

***

Entry 9:
Structure and calculated powder diffraction line list of NdAl3CuPd (a GGA-PBE-relaxed structure; Cu Kα (λ = 1.5418 Å)).
Intensities are scaled so that the largest is 1000.

Atomic structure:
abc: 6.2561 12.2234 5.9432
angles: 90.00 90.00 90.00
Space group Cmcm (No. 63)
Asymmetric unit:
Nd  0.0000  0.2201  0.2500 [4 per cell]
Al  0.0000  0.3513  0.7500 [4 per cell]
Al  0.2113  0.0000  0.0000 [8 per cell]
Cu  0.0000  0.4433  0.2500 [4 per cell]
Pd  0.0000  0.1398  0.7500 [4 per cell]

Peak list (8 most intense, 10° ≤ 2θ ≤ 90°, by angle)
two_theta  I/Imax  hkl
26.1  630  1 3 0
28.5  826  2 0 0
30.1  690  0 0 2
30.2  472  1 3 1
40.2  532  1 3 2
41.9  1000  2 0 2
42.5  999  1 5 1
60.4  336  3 5 1

***

Entry 10:
Structure and calculated powder diffraction line list of AcLa6DyTm2 (a GGA-PBE-relaxed structure; Cu Kα (λ = 1.5418 Å)).
Intensities are scaled so that the largest is 1000.

Atomic structure:
abc: 9.4863 15.5112 9.9110
angles: 90.00 97.07 90.00
Space group C2/c (No. 15)
Asymmetric unit:
Ac  0.0000  0.0285  0.2500 [4 per cell]
La  0.0655  0.1786  0.9477 [8 per cell]
La  0.0965  0.3917  0.1209 [8 per cell]
La  0.2233  0.2256  0.3138 [8 per cell]
Dy  0.0000  0.4120  0.7500 [4 per cell]
Tm  0.2449  0.4497  0.4525 [8 per cell]

Peak list (8 most intense, 10° ≤ 2θ ≤ 90°, by angle)
two_theta  I/Imax  hkl
27.1  494  2 2 -2
27.5  719  1 3 2
29.4  735  3 1 -1
29.6  727  0 2 3
30.1  1000  2 2 2
30.3  589  1 5 0
30.5  636  2 4 -1
32.8  529  1 3 -3

***

Entry 11:
Structure and calculated powder diffraction line list of Pm2FeGe6 (a GGA-PBE-relaxed structure; Cu Kα (λ = 1.5418 Å)).
Intensities are scaled so that the largest is 1000.

Atomic structure:
abc: 4.1760 4.0574 21.8228
angles: 90.00 90.00 90.00
Space group Amm2 (No. 38)
Asymmetric unit:
Pm  0.0000  0.0000  0.0000 [2 per cell]
Pm  0.0000  0.0000  0.3355 [2 per cell]
Fe  0.5000  0.0000  0.5605 [2 per cell]
Ge  0.0000  0.0000  0.6139 [2 per cell]
Ge  0.0000  0.0000  0.7291 [2 per cell]
Ge  0.5000  0.0000  0.1160 [2 per cell]
Ge  0.5000  0.0000  0.2315 [2 per cell]
Ge  0.5000  0.0000  0.4522 [2 per cell]
Ge  0.5000  0.0000  0.8787 [2 per cell]

Peak list (8 most intense, 10° ≤ 2θ ≤ 90°, by angle)
two_theta  I/Imax  hkl
32.6  215  1 0 6
32.8  165  0 0 8
33.2  1000  1 1 3
37.1  222  1 1 5
43.3  246  2 0 0
43.5  170  0 1 9
44.7  225  0 2 0
64.0  156  2 2 0

***

Entry 12:
Structure and calculated powder diffraction line list of Ba2MgBe (a GGA-PBE-relaxed structure; Cu Kα (λ = 1.5418 Å)).
Intensities are scaled so that the largest is 1000.

Atomic structure:
abc: 4.0435 4.0665 8.6778
angles: 90.00 90.00 90.00
Space group Pmmm (No. 47)
Asymmetric unit:
Ba  0.0000  0.0000  0.2184 [2 per cell]
Mg  0.5000  0.5000  0.5000 [1 per cell]
Be  0.5000  0.5000  0.0000 [1 per cell]

Peak list (8 most intense, 10° ≤ 2θ ≤ 90°, by angle)
two_theta  I/Imax  hkl
20.5  375  0 0 2
21.9  389  0 1 0
22.0  383  1 0 0
30.2  1000  1 0 2
31.2  528  1 1 0
37.6  323  1 1 2
44.5  222  0 2 0
54.8  181  1 2 2